Starting from a structure optimized by DFT (PBE+U), the powder diffraction line list of Sr5Ca3MnFe7O24 was calculated for Cu Ka.
No peak broadening, texture or thermal motion is included.

Top 8 peaks for 2θ from 5° to 70°, in order of falling intensity:
two_theta  I_rel
32.58  100
46.74  42
58.13  37
68.24  23
40.18  11
11.38  4
25.62  4
34.61  2

Crystal structure
```
data_Sr5Ca3MnFe7O24
_symmetry_space_group_name_H-M 'C 1 m 1'
_symmetry_Int_Tables_number 8
_symmetry_space_group_name_Hall 'C -2y'
_cell_length_a 10.9985
_cell_length_b 10.9958
_cell_length_c 7.7714
_cell_angle_alpha 90.00
_cell_angle_beta 90.01
_cell_angle_gamma 90.00
loop_
_atom_site_label
_atom_site_type_symbol
_atom_site_fract_x
_atom_site_fract_y
_atom_site_fract_z
Sr1 Sr 0.0000 0.0000 0.0000
Sr2 Sr 0.0000 0.0000 0.4991
Sr3 Sr 0.2496 0.2496 0.0001
Sr4 Sr 0.4992 0.0000 0.0001
Ca1 Ca 0.2496 0.2495 0.4990
Ca2 Ca 0.4990 0.0000 0.4990
Mn1 Mn 0.2503 0.0000 0.2517
Fe1 Fe 0.9996 0.2507 0.2517
Fe2 Fe 0.9996 0.2507 0.7474
Fe3 Fe 0.2489 0.5000 0.2518
Fe4 Fe 0.2489 0.5000 0.7475
Fe5 Fe 0.2503 0.0000 0.7476
O1 O 0.9996 0.2506 0.9984
O2 O 0.9996 0.2526 0.5008
O3 O 0.1240 0.3750 0.7437
O4 O 0.1254 0.1270 0.7457
O5 O 0.1249 0.3759 0.2555
O6 O 0.1271 0.1254 0.2536
O7 O 0.2471 0.5000 0.4990
O8 O 0.2490 0.5000 0.0003
O9 O 0.2502 0.0000 0.0017
O10 O 0.2523 0.0000 0.4976
O11 O 0.3726 0.3742 0.2535
O12 O 0.3739 0.1237 0.2558
O13 O 0.3736 0.3733 0.7457
O14 O 0.3755 0.1253 0.7437
```